Computed powder diffractogram
Compound: Pr2H2BrClO2
Radiation: Cu Kα (λ = 1.5418 Å)
Structure: a structure optimized by DFT (PBE)

Cell and atoms:
abc: 3.9743 3.9743 10.1976
angles: 90.00 90.00 120.00
Space group P3m1 (No. 156)
Inequivalent atoms, fractional coordinates:
1 Pr 0.0000 0.0000 0.0000 x1
2 Pr 0.3333 0.6667 0.4721 x1
3 H 0.6667 0.3333 0.2841 x1
4 H 0.6667 0.3333 0.8055 x1
5 Br 0.0000 0.0000 0.6704 x1
6 Cl 0.3333 0.6667 0.1747 x1
7 O 0.6667 0.3333 0.3807 x1
8 O 0.6667 0.3333 0.9014 x1

Most intense lines, 5 to 70 degrees two-theta, in order of rising 2θ:
Position (°2θ)  d [Å]  I_rel
17.39  5.099  44
25.89  3.442  32
27.35  3.261  100
31.36  2.853  27
35.20  2.549  13
37.18  2.419  99
44.21  2.049  14
45.65  1.987  45
49.21  1.852  18
54.02  1.698  20
58.93  1.567  17
60.28  1.535  24